# 1
Starting from a crystal structure in the Materials Project, relaxed with PBE, the powder diffractogram of Ba2CaI6 was calculated for Cu Kα (λ = 1.5418 Å).
Lines closer than 0.1° are merged.

Principal peaks in the range 10° ≤ 2θ ≤ 90°, by intensity:
2θ/deg	I (rel.)	index
30.60	100	2 0 6
30.41	43	2 2 0
18.56	35	1 1 3
54.16	19	4 2 6
21.38	17	2 0 0
54.51	16	2 2 12
21.64	13	0 0 6
35.87	13	3 1 3
44.10	13	0 0 12
43.55	10	4 0 0
72.73	8	2 0 18
25.02	8	2 1 2

Structural model:
Cell: 8.313 8.313 24.640 Å, 90.00 90.00 90.00°
Space group P-4b2 (No. 117)
Inequivalent atoms, fractional coordinates:
Ba  0.000  0.000  0.166 x4
Ba  0.000  0.500  0.336 x4
Ca  0.000  0.000  0.500 x2
Ca  0.000  0.500  0.000 x2
I  0.197  0.298  0.917 x8
I  0.200  0.200  0.581 x8
I  0.241  0.746  0.749 x8

# 2
Starting from a crystal structure in the Materials Project, relaxed with PBE, the powder diffractogram of BaCaI4 was calculated for Cu Kα (λ = 1.5418 Å).
Lines closer than 0.1° are merged.

Principal peaks in the range 10° ≤ 2θ ≤ 90°, by intensity:
2θ/deg	I (rel.)	index
25.96	100	1 1 4
27.56	67	2 1 -6
29.81	61	3 2 -2
26.08	39	3 1 -3
25.22	35	0 1 5
36.07	34	0 4 3
24.15	27	2 1 -5
30.79	26	1 2 -6
26.51	26	1 3 -2
25.54	24	3 0 -4
19.05	24	0 0 4
23.68	23	1 2 -4

Structural model:
Cell: 10.839 10.868 20.817 Å, 90.00 116.39 90.00°
Space group P2_1/c (No. 14)
Inequivalent atoms, fractional coordinates:
Ba  0.186  0.207  0.357 x4
Ba  0.258  0.528  0.651 x4
Ca  0.224  0.048  0.583 x4
Ca  0.343  0.666  0.419 x4
I  0.035  0.679  0.053 x4
I  0.098  0.000  0.898 x4
I  0.173  0.219  0.689 x4
I  0.185  0.742  0.761 x4
I  0.279  0.569  0.956 x4
I  0.361  0.224  0.056 x4
I  0.488  0.104  0.909 x4
I  0.498  0.567  0.188 x4